# 1
Structure and calculated powder diffractogram of CeMg6BO8 (a GGA-PBE-relaxed structure; Cu Kα (weighted mean of Kα1 and Kα2)).

Crystal structure
abc: 4.464 4.464 9.147
angles: 90.00 90.00 90.00
Sites, in units of the cell vectors:
Ce (0.000, 0.000, 0.000)
Mg (0.000, 0.500, 0.281)
Mg (0.000, 0.500, 0.719)
Mg (0.500, 0.000, 0.281)
Mg (0.500, 0.000, 0.719)
Mg (0.500, 0.500, 0.000)
Mg (0.500, 0.500, 0.500)
B (0.000, 0.000, 0.500)
O (0.000, 0.000, 0.250)
O (0.000, 0.000, 0.750)
O (0.000, 0.500, 0.000)
O (0.000, 0.500, 0.500)
O (0.500, 0.000, 0.000)
O (0.500, 0.000, 0.500)
O (0.500, 0.500, 0.256)
O (0.500, 0.500, 0.744)

Main lines, in order of falling intensity (5° ≤ 2θ ≤ 70°):
2θ/deg  I (rel.)
40.41  100
9.67  91
22.16  89
29.95  55
57.72  54
39.40  47
34.53  43
19.89  31
58.48  30
27.93  27

***

# 2
Structure and calculated powder diffractogram of CeMg6BO8 (a GGA-PBE-relaxed structure; Cu Kα (weighted mean of Kα1 and Kα2)).

Crystal structure
abc: 4.388 4.388 9.287
angles: 90.00 90.00 90.00
Sites, in units of the cell vectors:
Ce (0.000, 0.000, 0.000)
Mg (0.000, 0.000, 0.500)
Mg (0.000, 0.500, 0.273)
Mg (0.000, 0.500, 0.727)
Mg (0.500, 0.000, 0.273)
Mg (0.500, 0.000, 0.727)
Mg (0.500, 0.500, 0.500)
B (0.500, 0.500, 0.000)
O (0.000, 0.000, 0.267)
O (0.000, 0.000, 0.733)
O (0.000, 0.500, 0.000)
O (0.000, 0.500, 0.500)
O (0.500, 0.000, 0.000)
O (0.500, 0.000, 0.500)
O (0.500, 0.500, 0.281)
O (0.500, 0.500, 0.719)

Main lines, in order of falling intensity (5° ≤ 2θ ≤ 70°):
2θ/deg  I (rel.)
41.15  100
22.41  89
57.82  59
20.24  54
38.78  49
27.98  48
34.77  46
9.52  38
28.81  32
59.60  28

***

# 3
Structure and calculated powder diffractogram of CeMnB4 (a GGA-PBE-relaxed structure; Cu Kα (weighted mean of Kα1 and Kα2)).

Crystal structure
abc: 5.941 11.496 3.505
angles: 90.00 90.00 90.00
Sites, in units of the cell vectors:
Ce (0.125, 0.150, 0.000)
Ce (0.375, 0.650, 0.000)
Ce (0.625, 0.350, 0.000)
Ce (0.875, 0.850, 0.000)
Mn (0.129, 0.414, 0.000)
Mn (0.371, 0.914, 0.000)
Mn (0.629, 0.086, 0.000)
Mn (0.871, 0.586, 0.000)
B (0.024, 0.689, 0.500)
B (0.111, 0.545, 0.500)
B (0.141, 0.967, 0.500)
B (0.221, 0.817, 0.500)
B (0.279, 0.317, 0.500)
B (0.359, 0.467, 0.500)
B (0.389, 0.045, 0.500)
B (0.476, 0.189, 0.500)
B (0.524, 0.811, 0.500)
B (0.611, 0.955, 0.500)
B (0.641, 0.533, 0.500)
B (0.721, 0.683, 0.500)
B (0.779, 0.183, 0.500)
B (0.859, 0.033, 0.500)
B (0.889, 0.455, 0.500)
B (0.976, 0.311, 0.500)

Main lines, in order of falling intensity (5° ≤ 2θ ≤ 70°):
2θ/deg  I (rel.)
40.58  100
31.10  82
25.42  65
37.95  34
27.70  30
43.48  24
46.56  23
62.02  23
21.51  20
33.53  20

***

# 4
Structure and calculated powder diffractogram of CeBN2 (a GGA-PBE-relaxed structure; Cu Kα (weighted mean of Kα1 and Kα2)).

Crystal structure
abc: 6.419 6.796 7.703
angles: 106.56 90.19 115.64
Sites, in units of the cell vectors:
Ce (0.035, 0.282, 0.076)
Ce (0.037, 0.279, 0.566)
Ce (0.453, 0.148, 0.794)
Ce (0.547, 0.852, 0.206)
Ce (0.963, 0.721, 0.434)
Ce (0.965, 0.718, 0.924)
B (0.222, 0.071, 0.269)
B (0.399, 0.705, 0.832)
B (0.401, 0.716, 0.512)
B (0.599, 0.284, 0.488)
B (0.601, 0.295, 0.168)
B (0.778, 0.929, 0.731)
N (0.032, 0.018, 0.753)
N (0.263, 0.554, 0.931)
N (0.264, 0.583, 0.334)
N (0.269, 0.701, 0.670)
N (0.346, 0.132, 0.455)
N (0.349, 0.130, 0.116)
N (0.651, 0.870, 0.884)
N (0.654, 0.868, 0.545)
N (0.731, 0.299, 0.330)
N (0.736, 0.417, 0.666)
N (0.737, 0.446, 0.069)
N (0.968, 0.982, 0.247)

Main lines, in order of falling intensity (5° ≤ 2θ ≤ 70°):
2θ/deg  I (rel.)
27.01  100
32.50  70
30.77  65
31.25  46
41.91  45
31.48  38
32.73  35
32.85  35
15.48  31
47.19  27